Record 1
Structure and calculated XRD peak list of Nd2SmN3 (a structure optimized by DFT (PBE); λ = 1.5418 Å (Cu Kα)).
Neutral-atom scattering factors, no anomalous dispersion.

Atomic structure:
```
data_Nd2SmN3
_space_group_name_H-M_alt 'P -3 m 1'
_space_group_IT_number 164
_space_group_name_Hall '-P 3 2"'
_cell_length_a 3.6134
_cell_length_b 3.6134
_cell_length_c 8.8475
_cell_angle_alpha 90.00
_cell_angle_beta 90.00
_cell_angle_gamma 120.00
loop_
_atom_site_label
_atom_site_fract_x
_atom_site_fract_y
_atom_site_fract_z
Nd1 0.3333 0.6667 0.3317
Sm1 0.0000 0.0000 0.0000
N1 0.0000 0.0000 0.5000
N2 0.3333 0.6667 0.8368
```

Top 8 peaks for 2θ = 15–90°, by angle:
2.950 Å, 30.3°, I = 1000
2.555 Å, 35.1°, I = 743
1.806 Å, 50.5°, I = 515
1.541 Å, 60.1°, I = 456
1.475 Å, 63.0°, I = 174
1.277 Å, 74.2°, I = 80
1.172 Å, 82.2°, I = 190
1.143 Å, 84.9°, I = 226


Record 2
Structure and calculated XRD peak list of Nd3W2N6 (a structure optimized by DFT (PBE); λ = 1.5418 Å (Cu Kα)).
Neutral-atom scattering factors, no anomalous dispersion.

Atomic structure:
```
data_Nd3W2N6
_space_group_name_H-M_alt 'I 4/m m m'
_space_group_IT_number 139
_space_group_name_Hall '-I 4 2'
_cell_length_a 3.984
_cell_length_b 3.984
_cell_length_c 19.484
_cell_angle_alpha 90.00
_cell_angle_beta 90.00
_cell_angle_gamma 90.00
loop_
_atom_site_label
_atom_site_fract_x
_atom_site_fract_y
_atom_site_fract_z
Nd1 0.000 0.000 0.000
Nd2 0.000 0.000 0.182
W1 0.000 0.000 0.404
N1 0.000 0.000 0.303
N2 0.000 0.500 0.087
```

Top 8 peaks for 2θ = 15–90°, by angle:
2.817 Å, 31.8°, I = 586
2.786 Å, 32.1°, I = 1000
1.992 Å, 45.5°, I = 279
1.620 Å, 56.8°, I = 409
1.602 Å, 57.5°, I = 138
1.408 Å, 66.4°, I = 129
1.393 Å, 67.2°, I = 104
1.260 Å, 75.5°, I = 140


Record 3
Structure and calculated XRD peak list of Ni8N (a structure optimized by DFT (PBE); λ = 1.5418 Å (Cu Kα)).
Neutral-atom scattering factors, no anomalous dispersion.

Atomic structure:
```
data_Ni8N
_space_group_name_H-M_alt 'P 6/m m m'
_space_group_IT_number 191
_space_group_name_Hall '-P 6 2'
_cell_length_a 7.7335
_cell_length_b 7.7335
_cell_length_c 2.3418
_cell_angle_alpha 90.00
_cell_angle_beta 90.00
_cell_angle_gamma 120.00
loop_
_atom_site_label
_atom_site_fract_x
_atom_site_fract_y
_atom_site_fract_z
Ni1 0.1671 0.3341 0.0000
Ni2 0.3333 0.6667 0.0000
N1 0.0000 0.0000 0.5000
```

Top 8 peaks for 2θ = 15–90°, by angle:
3.349 Å, 26.6°, I = 1000
2.342 Å, 38.4°, I = 524
1.933 Å, 47.0°, I = 947
1.919 Å, 47.4°, I = 483
1.491 Å, 62.3°, I = 699
1.362 Å, 68.9°, I = 141
1.116 Å, 87.4°, I = 138
1.113 Å, 87.6°, I = 142


Record 4
Structure and calculated XRD peak list of Ni3PN (a structure optimized by DFT (PBE); λ = 1.5418 Å (Cu Kα)).
Neutral-atom scattering factors, no anomalous dispersion.

Atomic structure:
```
data_Ni3PN
_space_group_name_H-M_alt 'C m c m'
_space_group_IT_number 63
_space_group_name_Hall '-C 2c 2'
_cell_length_a 3.037
_cell_length_b 10.364
_cell_length_c 6.661
_cell_angle_alpha 90.00
_cell_angle_beta 90.00
_cell_angle_gamma 90.00
loop_
_atom_site_label
_atom_site_fract_x
_atom_site_fract_y
_atom_site_fract_z
Ni1 0.000 0.074 0.250
Ni2 0.000 0.358 0.053
P1 0.000 0.251 0.750
N1 0.000 0.000 0.000
```

Top 8 peaks for 2θ = 15–90°, by angle:
2.415 Å, 37.2°, I = 312
2.281 Å, 39.5°, I = 830
2.193 Å, 41.2°, I = 895
2.158 Å, 41.9°, I = 902
2.042 Å, 44.4°, I = 1000
1.882 Å, 48.4°, I = 389
1.533 Å, 60.4°, I = 299
1.218 Å, 78.5°, I = 334


Record 5
Structure and calculated XRD peak list of Pr2NiN3 (a structure optimized by DFT (PBE); λ = 1.5418 Å (Cu Kα)).
Neutral-atom scattering factors, no anomalous dispersion.

Atomic structure:
```
data_Pr2NiN3
_space_group_name_H-M_alt 'I m m m'
_space_group_IT_number 71
_space_group_name_Hall '-I 2 2'
_cell_length_a 3.610
_cell_length_b 3.745
_cell_length_c 12.599
_cell_angle_alpha 90.00
_cell_angle_beta 90.00
_cell_angle_gamma 90.00
loop_
_atom_site_label
_atom_site_fract_x
_atom_site_fract_y
_atom_site_fract_z
Pr1 0.000 0.000 0.147
Ni1 0.000 0.000 0.500
N1 0.000 0.000 0.341
N2 0.000 0.500 0.500
```

Top 8 peaks for 2θ = 15–90°, by angle:
2.795 Å, 32.0°, I = 771
2.738 Å, 32.7°, I = 878
2.599 Å, 34.5°, I = 1000
2.005 Å, 45.2°, I = 299
1.872 Å, 48.6°, I = 211
1.633 Å, 56.3°, I = 296
1.545 Å, 59.8°, I = 310
1.516 Å, 61.1°, I = 254


Record 6
Structure and calculated XRD peak list of Sc2Ni3W4N3 (a structure optimized by DFT (PBE); λ = 1.5418 Å (Cu Kα)).
Neutral-atom scattering factors, no anomalous dispersion.

Atomic structure:
```
data_Sc2Ni3W4N3
_space_group_name_H-M_alt 'C 1 2/c 1'
_space_group_IT_number 15
_cell_length_a 9.102
_cell_length_b 5.288
_cell_length_c 13.105
_cell_angle_alpha 90.00
_cell_angle_beta 103.01
_cell_angle_gamma 90.00
loop_
_space_group_symop_operation_xyz
'x,y,z'
'-x,-y,-z'
'-x,y,-z+1/2'
'x,-y,z+1/2'
'x+1/2,y+1/2,z'
'-x+1/2,-y+1/2,-z'
'-x+1/2,y+1/2,-z+1/2'
'x+1/2,-y+1/2,z+1/2'
loop_
_atom_site_label
_atom_site_fract_x
_atom_site_fract_y
_atom_site_fract_z
Sc1 0.042 0.080 0.380
Ni1 0.000 0.438 0.750
Ni2 0.239 0.156 0.749
W1 0.110 0.424 0.584
W2 0.220 0.414 0.916
N1 0.074 0.223 0.000
N2 0.250 0.250 0.500
```

Top 8 peaks for 2θ = 15–90°, by angle:
4.542 Å, 19.5°, I = 417
4.438 Å, 20.0°, I = 262
2.632 Å, 34.1°, I = 171
2.578 Å, 34.8°, I = 228
2.245 Å, 40.2°, I = 1000
2.233 Å, 40.4°, I = 503
2.128 Å, 42.5°, I = 328
1.524 Å, 60.8°, I = 159